(1)
For Nd3Tm2Hg6, the PBE geometry in Alexandria gives the computed XRD peak list in this record (Cu Ka).
Intensities are scaled so that the largest is 100.

Atomic structure:
Cell: 4.4603 4.4603 32.8159 Å, 90.00 90.00 90.00°
Space group I4/mmm (No. 139)
Symmetry-distinct sites (fractional):
Nd  0.0000  0.0000  0.0000
Nd  0.0000  0.0000  0.1811
Tm  0.0000  0.0000  0.3703
Hg  0.0000  0.0000  0.2793
Hg  0.0000  0.5000  0.0696

Peak list (10 most intense, 10° ≤ 2θ ≤ 90°, by angle)
2theta, intensity, h k l
21.5, 25, 1 0 3
28.8, 100, 1 1 2
31.7, 33, 1 0 9
32.8, 75, 1 1 6
35.9, 61, 1 1 8
36.2, 73, 1 0 11
40.4, 88, 2 0 0
55.4, 43, 2 1 11
58.5, 32, 2 2 0
69.7, 26, 1 1 22



(2)
For Nd3TmHg3, the PBE geometry in Alexandria gives the computed XRD peak list in this record (Cu Ka).
Intensities are scaled so that the largest is 100.

Atomic structure:
Cell: 8.7862 11.8098 8.1884 Å, 90.00 97.70 90.00°
Space group C2/m (No. 12)
Symmetry-distinct sites (fractional):
Nd  0.0000  0.1733  0.0000
Nd  0.0000  0.2428  0.5000
Nd  0.1436  0.5000  0.8762
Tm  0.2008  0.5000  0.4599
Hg  0.0051  0.0000  0.2969
Hg  0.2186  0.3264  0.2099

Peak list (10 most intense, 10° ≤ 2θ ≤ 90°, by angle)
2theta, intensity, h k l
26.6, 19, 1 3 -1
27.7, 59, 1 3 1
31.7, 48, 3 1 0
31.9, 100, 2 2 -2
32.3, 19, 0 4 1
34.3, 82, 1 3 2
41.5, 20, 4 0 0
41.7, 28, 2 0 3
49.8, 18, 3 5 0
63.8, 25, 2 6 3



(3)
For Nd2Tm6Hg, the PBE geometry in Alexandria gives the computed XRD peak list in this record (Cu Ka).
Intensities are scaled so that the largest is 100.

Atomic structure:
Cell: 9.6677 10.2026 5.4339 Å, 90.00 90.00 90.00°
Space group Pnnm (No. 58)
Symmetry-distinct sites (fractional):
Nd  0.1908  0.2474  0.0000
Tm  0.0182  0.3216  0.5000
Tm  0.1384  0.8969  0.0000
Tm  0.1802  0.5729  0.0000
Hg  0.0000  0.0000  0.5000

Peak list (10 most intense, 10° ≤ 2θ ≤ 90°, by angle)
2theta, intensity, h k l
31.0, 31, 0 3 1
32.2, 31, 2 3 0
32.3, 100, 3 0 1
32.4, 65, 1 3 1
33.0, 60, 0 0 2
38.5, 15, 3 3 0
46.7, 22, 2 3 2
57.4, 17, 2 6 0
57.6, 22, 1 6 1
58.5, 31, 3 0 3



(4)
For Nd4TmHg3, the PBE geometry in Alexandria gives the computed XRD peak list in this record (Cu Ka).
Intensities are scaled so that the largest is 100.

Atomic structure:
Cell: 11.1176 7.1702 5.7474 Å, 90.00 90.00 90.00°
Space group Pmma (No. 51)
Symmetry-distinct sites (fractional):
Nd  0.0000  0.2446  0.0000
Nd  0.2500  0.2406  0.4041
Tm  0.0000  0.5000  0.5000
Hg  0.0000  0.0000  0.5000
Hg  0.2500  0.0000  0.8968
Hg  0.2500  0.5000  0.8778

Peak list (10 most intense, 10° ≤ 2θ ≤ 90°, by angle)
2theta, intensity, h k l
30.5, 16, 1 2 1
31.1, 14, 0 0 2
32.2, 52, 4 0 0
33.6, 100, 2 2 1
45.4, 10, 4 0 2
50.9, 14, 0 4 0
58.3, 21, 6 2 1
61.6, 16, 4 4 0
67.3, 14, 8 0 0
89.1, 14, 8 4 0



(5)
For Nd6Tm2Hg, the PBE geometry in Alexandria gives the computed XRD peak list in this record (Cu Ka).
Intensities are scaled so that the largest is 100.

Atomic structure:
Cell: 9.8062 17.0841 3.4287 Å, 90.00 90.00 90.00°
Space group Cmmm (No. 65)
Symmetry-distinct sites (fractional):
Nd  0.1636  0.1630  0.0000
Nd  0.1762  0.5000  0.0000
Tm  0.0000  0.3333  0.5000
Hg  0.0000  0.0000  0.5000

Peak list (10 most intense, 10° ≤ 2θ ≤ 90°, by angle)
2theta, intensity, h k l
31.4, 36, 0 6 0
31.6, 71, 3 3 0
31.8, 100, 2 0 1
45.3, 26, 2 6 1
45.5, 12, 4 0 1
56.0, 14, 3 9 0
56.2, 13, 1 9 1
56.3, 19, 6 0 0
56.4, 14, 5 3 1
63.4, 29, 0 6 2



(6)
For Nd2Tm2Hg, the PBE geometry in Alexandria gives the computed XRD peak list in this record (Cu Ka).
Intensities are scaled so that the largest is 100.

Atomic structure:
Cell: 7.4095 10.2722 16.4274 Å, 90.00 90.00 90.00°
Space group Fmmm (No. 69)
Symmetry-distinct sites (fractional):
Nd  0.0000  0.0000  0.2053
Nd  0.2087  0.0000  0.0000
Tm  0.0000  0.2049  0.3973
Hg  0.2500  0.2500  0.2500

Peak list (10 most intense, 10° ≤ 2θ ≤ 90°, by angle)
2theta, intensity, h k l
29.2, 35, 1 3 1
31.0, 28, 1 1 5
31.7, 100, 2 2 2
32.5, 50, 2 0 4
34.9, 28, 0 4 0
37.1, 34, 2 2 4
37.2, 39, 0 2 6
54.1, 22, 1 5 5
61.8, 17, 4 4 0
63.2, 19, 4 2 6



(7)
For Nd2Tm3Hg2, the PBE geometry in Alexandria gives the computed XRD peak list in this record (Cu Ka).
Intensities are scaled so that the largest is 100.

Atomic structure:
Cell: 11.8405 4.7601 8.2260 Å, 90.00 115.42 90.00°
Space group C2/m (No. 12)
Symmetry-distinct sites (fractional):
Nd  0.1340  0.0000  0.2854
Tm  0.0000  0.5000  0.5000
Tm  0.1286  0.5000  0.9537
Hg  0.1516  0.0000  0.7008

Peak list (10 most intense, 10° ≤ 2θ ≤ 90°, by angle)
2theta, intensity, h k l
15.7, 34, 2 0 -1
28.8, 43, 1 1 -2
29.4, 80, 3 1 -1
31.4, 40, 3 1 0
32.3, 60, 3 1 -2
33.5, 34, 4 0 0
34.4, 100, 1 1 2
37.4, 53, 4 0 -3
37.8, 60, 0 2 0
59.4, 28, 3 1 -5



(8)
For Nd4YHg, the PBE geometry in Alexandria gives the computed XRD peak list in this record (Cu Ka).
Intensities are scaled so that the largest is 100.

Atomic structure:
Cell: 3.7035 3.7035 14.2014 Å, 90.00 90.00 90.00°
Space group P4/mmm (No. 123)
Symmetry-distinct sites (fractional):
Nd  0.0000  0.0000  0.1437
Nd  0.5000  0.5000  0.3232
Y  0.0000  0.0000  0.5000
Hg  0.5000  0.5000  0.0000

Peak list (10 most intense, 10° ≤ 2θ ≤ 90°, by angle)
2theta, intensity, h k l
30.7, 100, 1 0 3
34.2, 40, 1 1 0
35.0, 8, 1 0 4
38.0, 11, 0 0 6
49.2, 14, 2 0 0
52.1, 18, 1 1 6
59.1, 31, 2 1 3
63.8, 10, 2 0 6
64.2, 6, 1 0 9
82.3, 7, 3 1 0